This entry pairs a crystal structure of BeNb3B7 with its theoretical PXRD pattern. Radiation: Cu Kα, 1.54184 Å. Structure: a structure optimized by DFT (PBE).
Kinematic intensities with the Lorentz-polarization factor, no thermal factor.

Atomic structure:
```
data_BeNb3B7
_symmetry_space_group_name_H-M 'C m c m'
_symmetry_Int_Tables_number 63
_symmetry_space_group_name_Hall '-C 2c 2'
_cell_length_a 3.1846
_cell_length_b 14.3449
_cell_length_c 8.7700
_cell_angle_alpha 90.00
_cell_angle_beta 90.00
_cell_angle_gamma 90.00
loop_
_atom_site_label
_atom_site_type_symbol
_atom_site_fract_x
_atom_site_fract_y
_atom_site_fract_z
Be1 Be 0.0000 0.0449 0.2500
Nb1 Nb 0.0000 0.1072 0.5535
Nb2 Nb 0.0000 0.2464 0.2500
B1 B 0.0000 0.2729 0.5320
B2 B 0.0000 0.3691 0.6525
B3 B 0.0000 0.4361 0.2500
B4 B 0.0000 0.4845 0.5942
```

Largest 6 diffraction maxima, sorted by position, 2θ = 5–70°:
- 23.78 deg, intensity 44
- 32.25 deg, intensity 75
- 33.09 deg, intensity 36
- 35.38 deg, intensity 92
- 42.43 deg, intensity 100
- 47.42 deg, intensity 36

=====

This entry pairs a crystal structure of Be16Nb2B with its theoretical PXRD pattern. Radiation: Cu Kα, 1.54184 Å. Structure: a structure optimized by DFT (PBE).
Kinematic intensities with the Lorentz-polarization factor, no thermal factor.

Atomic structure:
```
data_Be16Nb2B
_symmetry_space_group_name_H-M 'R 3 m'
_symmetry_Int_Tables_number 160
_symmetry_space_group_name_Hall 'R 3 -2"'
_cell_length_a 7.3359
_cell_length_b 7.3359
_cell_length_c 10.6470
_cell_angle_alpha 90.00
_cell_angle_beta 90.00
_cell_angle_gamma 120.00
loop_
_atom_site_label
_atom_site_type_symbol
_atom_site_fract_x
_atom_site_fract_y
_atom_site_fract_z
Be1 Be 0.0000 0.0000 0.0686
Be2 Be 0.0043 0.5021 0.3130
Be3 Be 0.0373 0.3701 0.8231
Be4 Be 0.1684 0.3368 0.3333
Be5 Be 0.1684 0.3368 0.9902
Nb1 Nb 0.0000 0.0000 0.4928
Nb2 Nb 0.0000 0.0000 0.8189
B1 B 0.0000 0.0000 0.2604
```

Largest 6 diffraction maxima, sorted by position, 2θ = 5–70°:
- 16.25 deg, intensity 59
- 24.27 deg, intensity 100
- 25.09 deg, intensity 31
- 35.19 deg, intensity 94
- 42.70 deg, intensity 36
- 50.16 deg, intensity 52

=====

This entry pairs a crystal structure of Be2NbBS with its theoretical PXRD pattern. Radiation: Cu Kα, 1.54184 Å. Structure: a structure optimized by DFT (PBE).
Kinematic intensities with the Lorentz-polarization factor, no thermal factor.

Atomic structure:
```
data_Be2NbBS
_symmetry_space_group_name_H-M 'P 4/m m m'
_symmetry_Int_Tables_number 123
_symmetry_space_group_name_Hall '-P 4 2'
_cell_length_a 3.7232
_cell_length_b 3.7232
_cell_length_c 4.8027
_cell_angle_alpha 90.00
_cell_angle_beta 90.00
_cell_angle_gamma 90.00
loop_
_atom_site_label
_atom_site_type_symbol
_atom_site_fract_x
_atom_site_fract_y
_atom_site_fract_z
Be1 Be 0.0000 0.5000 0.0000
Nb1 Nb 0.0000 0.0000 0.5000
B1 B 0.5000 0.5000 0.5000
S1 S 0.0000 0.0000 0.0000
```

Largest 6 diffraction maxima, sorted by position, 2θ = 5–70°:
- 23.90 deg, intensity 100
- 34.05 deg, intensity 42
- 39.02 deg, intensity 25
- 44.92 deg, intensity 35
- 51.51 deg, intensity 24
- 68.59 deg, intensity 24

=====

This entry pairs a crystal structure of NdBe2BOs2 with its theoretical PXRD pattern. Radiation: Cu Kα, 1.54184 Å. Structure: a structure optimized by DFT (PBE).
Kinematic intensities with the Lorentz-polarization factor, no thermal factor.

Atomic structure:
```
data_NdBe2BOs2
_symmetry_space_group_name_H-M 'P 4/m m m'
_symmetry_Int_Tables_number 123
_symmetry_space_group_name_Hall '-P 4 2'
_cell_length_a 4.1297
_cell_length_b 4.1297
_cell_length_c 5.2910
_cell_angle_alpha 90.00
_cell_angle_beta 90.00
_cell_angle_gamma 90.00
loop_
_atom_site_label
_atom_site_type_symbol
_atom_site_fract_x
_atom_site_fract_y
_atom_site_fract_z
Nd1 Nd 0.0000 0.0000 0.0000
Be1 Be 0.5000 0.5000 0.2753
B1 B 0.0000 0.0000 0.5000
Os1 Os 0.0000 0.5000 0.5000
```

Largest 6 diffraction maxima, sorted by position, 2θ = 5–70°:
- 16.76 deg, intensity 34
- 33.88 deg, intensity 28
- 35.10 deg, intensity 100
- 43.85 deg, intensity 30
- 56.54 deg, intensity 26
- 61.41 deg, intensity 21